[1]
# PuZn2O6
Computed powder X-ray diffraction pattern, λ = 1.5418 Å (Cu Kα). Input: a cell relaxed with PBE.
No peak broadening, texture or thermal motion is included.

The 6 most intense peaks (10° ≤ 2θ ≤ 80°), in order of falling intensity:
two_theta, Rel. int., (hkl)
20.05, 100, 2 0 -1
29.04, 71, 1 1 1
12.36, 55, 0 0 1
22.22, 47, 2 0 1
25.72, 35, 1 1 0
35.41, 27, 1 1 -2

Crystal structure
Cell: 10.423 3.675 7.204 Å, 90.00 96.12 90.00°
Space group C2/m (No. 12)
Asymmetric unit:
Pu (0.000, 0.000, 0.000) [2 per cell]
Zn (0.223, 0.500, 0.339) [4 per cell]
O (0.101, 0.000, 0.810) [4 per cell]
O (0.102, 0.500, 0.112) [4 per cell]
O (0.205, 0.000, 0.393) [4 per cell]

[2]
# PuZn2O5
Computed powder X-ray diffraction pattern, λ = 1.5418 Å (Cu Kα). Input: a cell relaxed with PBE.
No peak broadening, texture or thermal motion is included.

The 6 most intense peaks (10° ≤ 2θ ≤ 80°), in order of falling intensity:
two_theta, Rel. int., (hkl)
28.17, 100, 1 1 -2
32.03, 75, 3 1 0
19.84, 42, 1 1 0
17.53, 40, 2 0 0
49.59, 37, 2 2 2
24.07, 31, 2 0 -2

Crystal structure
Cell: 10.640 4.991 8.228 Å, 90.00 108.01 90.00°
Space group C2/c (No. 15)
Asymmetric unit:
Pu (0.000, 0.000, 0.000) [4 per cell]
Zn (0.157, 0.482, 0.286) [8 per cell]
O (0.000, 0.235, 0.250) [4 per cell]
O (0.105, 0.280, 0.961) [8 per cell]
O (0.173, 0.201, 0.646) [8 per cell]

[3]
# Pu2ZnO
Computed powder X-ray diffraction pattern, λ = 1.5418 Å (Cu Kα). Input: a cell relaxed with PBE.
No peak broadening, texture or thermal motion is included.

The 6 most intense peaks (10° ≤ 2θ ≤ 80°), in order of falling intensity:
two_theta, Rel. int., (hkl)
31.21, 100, 1 0 1
29.00, 65, 0 0 9
35.10, 63, 0 1 5
40.73, 61, 0 1 8
33.69, 61, 1 0 4
63.56, 44, 1 1 9

Crystal structure
Cell: 3.3273 3.3273 27.7132 Å, 90.00 90.00 120.00°
Space group R-3m (No. 166, hexagonal axes)
Asymmetric unit:
Pu (0.0000, 0.0000, 0.1119) [6 per cell]
Zn (0.0000, 0.0000, 0.0000) [3 per cell]
O (0.0000, 0.0000, 0.5000) [3 per cell]

[4]
# Pu2ZrO11
Computed powder X-ray diffraction pattern, λ = 1.5418 Å (Cu Kα). Input: a cell relaxed with PBE.
No peak broadening, texture or thermal motion is included.

The 6 most intense peaks (10° ≤ 2θ ≤ 80°), in order of falling intensity:
two_theta, Rel. int., (hkl)
23.86, 100, 2 2 0
22.58, 81, 1 1 -2
17.03, 67, 0 2 0
16.58, 57, 2 0 0
27.86, 53, 3 1 -2
28.42, 48, 1 1 2

Crystal structure
Cell: 11.597 10.411 8.512 Å, 90.00 112.78 90.00°
Space group Cm (No. 8)
Asymmetric unit:
Pu (0.000, 0.000, 0.000) [2 per cell]
Pu (0.002, 0.500, 0.807) [2 per cell]
Pu (0.010, 0.000, 0.517) [2 per cell]
Pu (0.478, 0.000, 0.269) [2 per cell]
Zr (0.252, 0.212, 0.898) [4 per cell]
O (0.049, 0.500, 0.044) [2 per cell]
O (0.087, 0.373, 0.374) [4 per cell]
O (0.109, 0.000, 0.307) [2 per cell]
O (0.111, 0.127, 0.985) [4 per cell]
O (0.115, 0.126, 0.666) [4 per cell]
O (0.139, 0.364, 0.829) [4 per cell]
O (0.229, 0.000, 0.372) [2 per cell]
O (0.266, 0.500, 0.628) [2 per cell]
O (0.359, 0.129, 0.141) [4 per cell]
O (0.369, 0.144, 0.795) [4 per cell]
O (0.386, 0.500, 0.694) [2 per cell]
O (0.389, 0.371, 0.008) [4 per cell]
O (0.411, 0.376, 0.384) [4 per cell]
O (0.459, 0.000, 0.574) [2 per cell]

[5]
# Rb5O2
Computed powder X-ray diffraction pattern, λ = 1.5418 Å (Cu Kα). Input: a cell relaxed with PBE.
No peak broadening, texture or thermal motion is included.

The 6 most intense peaks (10° ≤ 2θ ≤ 80°), in order of falling intensity:
two_theta, Rel. int., (hkl)
27.39, 100, 0 2 1
23.70, 91, 5 1 -1
29.78, 68, 5 1 -2
23.26, 62, 3 1 1
28.56, 47, 2 0 2
23.59, 47, 5 1 0

Crystal structure
Cell: 23.052 7.322 7.460 Å, 90.00 107.35 90.00°
Space group C2/c (No. 15)
Asymmetric unit:
Rb (0.000, 0.047, 0.250) [4 per cell]
Rb (0.063, 0.380, 0.657) [8 per cell]
Rb (0.168, 0.195, 0.173) [8 per cell]
O (0.056, 0.260, 0.015) [8 per cell]

[6]
# Rb2O3
Computed powder X-ray diffraction pattern, λ = 1.5418 Å (Cu Kα). Input: a cell relaxed with PBE.
No peak broadening, texture or thermal motion is included.

The 6 most intense peaks (10° ≤ 2θ ≤ 80°), in order of falling intensity:
two_theta, Rel. int., (hkl)
31.48, 100, 3 0 1
27.59, 95, 1 0 3
31.93, 88, 3 1 0
34.34, 72, 2 1 3
26.41, 53, 2 0 2
37.60, 47, 3 2 1

Crystal structure
Cell: 8.862 8.862 10.416 Å, 90.00 90.00 90.00°
Space group I-42d (No. 122)
Asymmetric unit:
Rb (0.058, 0.687, 0.447) [16 per cell]
O (0.000, 0.000, 0.431) [8 per cell]
O (0.120, 0.734, 0.190) [16 per cell]

[7]
# Rb2O3
Computed powder X-ray diffraction pattern, λ = 1.5418 Å (Cu Kα). Input: a cell relaxed with PBE.
No peak broadening, texture or thermal motion is included.

The 6 most intense peaks (10° ≤ 2θ ≤ 80°), in order of falling intensity:
two_theta, Rel. int., (hkl)
30.11, 100, 3 1 0
26.87, 61, 2 2 0
35.80, 57, 3 2 1
49.52, 57, 4 3 1
45.32, 24, 3 3 2
74.26, 18, 6 3 3

Crystal structure
Cell: 9.385 9.385 9.385 Å, 90.00 90.00 90.00°
Space group I-43d (No. 220)
Asymmetric unit:
Rb (0.052, 0.448, 0.552) [16 per cell]
O (0.000, 0.250, 0.800) [24 per cell]

[8]
# Rb9O2
Computed powder X-ray diffraction pattern, λ = 1.5418 Å (Cu Kα). Input: a cell relaxed with PBE.
No peak broadening, texture or thermal motion is included.

The 6 most intense peaks (10° ≤ 2θ ≤ 80°), in order of falling intensity:
two_theta, Rel. int., (hkl)
25.30, 100, 1 3 -2
12.61, 97, 0 2 0
24.16, 83, 1 3 1
23.36, 69, 0 0 3
23.63, 50, 2 0 -2
25.14, 48, 2 0 1

Crystal structure
Cell: 8.336 14.073 11.788 Å, 90.00 104.30 90.00°
Space group P2_1/m (No. 11)
Asymmetric unit:
Rb (0.026, 0.250, 0.392) [2 per cell]
Rb (0.058, 0.621, 0.317) [4 per cell]
Rb (0.156, 0.250, 0.994) [2 per cell]
Rb (0.270, 0.609, 0.039) [4 per cell]
Rb (0.394, 0.609, 0.634) [4 per cell]
Rb (0.439, 0.750, 0.343) [2 per cell]
O (0.152, 0.750, 0.155) [2 per cell]
O (0.223, 0.750, 0.496) [2 per cell]

[9]
# RbO4
Computed powder X-ray diffraction pattern, λ = 1.5418 Å (Cu Kα). Input: a cell relaxed with PBE.
No peak broadening, texture or thermal motion is included.

The 6 most intense peaks (10° ≤ 2θ ≤ 80°), in order of falling intensity:
two_theta, Rel. int., (hkl)
30.64, 100, 2 1 1
37.94, 48, 4 1 0
34.61, 39, 2 2 1
18.15, 35, 2 0 0
29.22, 32, 2 0 1
28.88, 26, 3 1 0

Crystal structure
Cell: 9.778 9.778 3.916 Å, 90.00 90.00 90.00°
Space group P4/mbm (No. 127)
Asymmetric unit:
Rb (0.194, 0.306, 0.000) [4 per cell]
O (0.000, 0.000, 0.158) [4 per cell]
O (0.068, 0.734, 0.500) [8 per cell]
O (0.097, 0.597, 0.500) [4 per cell]

[10]
# Rb5O3
Computed powder X-ray diffraction pattern, λ = 1.5418 Å (Cu Kα). Input: a cell relaxed with PBE.
No peak broadening, texture or thermal motion is included.

The 6 most intense peaks (10° ≤ 2θ ≤ 80°), in order of falling intensity:
two_theta, Rel. int., (hkl)
32.95, 100, 1 1 2
25.11, 53, 1 1 1
38.48, 50, 3 0 0
36.01, 36, 2 1 1
27.45, 31, 1 0 2
51.54, 23, 2 2 2

Crystal structure
Cell: 8.1033 8.1033 7.3333 Å, 90.00 90.00 120.00°
Space group P6_3/mcm (No. 193)
Asymmetric unit:
Rb (0.0000, 0.2779, 0.2500) [6 per cell]
Rb (0.3333, 0.6667, 0.0000) [4 per cell]
O (0.0000, 0.3799, 0.7500) [6 per cell]

[11]
# Rb13O2
Computed powder X-ray diffraction pattern, λ = 1.5418 Å (Cu Kα). Input: a cell relaxed with PBE.
No peak broadening, texture or thermal motion is included.

The 6 most intense peaks (10° ≤ 2θ ≤ 80°), in order of falling intensity:
two_theta, Rel. int., (hkl)
23.13, 100, 2 -1 1
22.83, 52, -1 1 2
22.61, 50, 1 2 0
24.43, 42, 2 1 -2
25.44, 41, 1 -3 1
29.47, 40, 1 0 3

Crystal structure
Cell: 8.605 11.141 12.071 Å, 117.09 97.72 95.35°
Space group P-1 (No. 2)
Asymmetric unit:
Rb (0.000, 0.000, 0.000) [1 per cell]
Rb (0.071, 0.906, 0.643) [2 per cell]
Rb (0.099, 0.393, 0.298) [2 per cell]
Rb (0.230, 0.413, 0.905) [2 per cell]
Rb (0.290, 0.900, 0.229) [2 per cell]
Rb (0.385, 0.276, 0.511) [2 per cell]
Rb (0.453, 0.211, 0.170) [2 per cell]
O (0.197, 0.149, 0.268) [2 per cell]